# Ac2Hg3BiPd6
Calculated powder diffraction line list, λ = 1.5418 Å (Cu Kα). Input: a DFT-relaxed cell (GGA-PBE, Alexandria).

Structural model:
```
Ac2Hg3BiPd6
1.0
4.145 0.000 0.000
0.000 4.145 0.000
0.000 0.000 18.220
Ac Hg Bi Pd
2 3 1 6
Cartesian
0.000 0.000 3.591
0.000 0.000 14.629
2.072 2.072 0.000
2.072 2.072 5.407
2.072 2.072 12.813
0.000 0.000 9.110
0.000 2.072 7.264
0.000 2.072 10.956
2.072 0.000 7.264
2.072 0.000 10.956
2.072 2.072 2.665
2.072 2.072 15.556
```

Top 6 peaks for 2θ from 15° to 90°, sorted by position:
(1 0 3), 26.03 deg, 3.424 Å, I = 100; (1 1 0), 30.50 deg, 2.931 Å, I = 46; (1 0 7), 40.94 deg, 2.204 Å, I = 67; (1 1 6), 42.88 deg, 2.109 Å, I = 46; (2 0 0), 43.68 deg, 2.072 Å, I = 59; (2 1 7), 61.40 deg, 1.510 Å, I = 41

# AcTlHgBi
Calculated powder diffraction line list, λ = 1.5418 Å (Cu Kα). Input: a DFT-relaxed cell (GGA-PBE, Alexandria).

Structural model:
```
AcTlHgBi
1.0
8.061 0.000 0.000
0.000 8.061 0.000
0.000 0.000 8.061
Ac Tl Hg Bi
4 4 4 4
Cartesian
0.000 0.000 0.000
0.000 4.031 4.031
4.031 0.000 4.031
4.031 4.031 0.000
0.000 0.000 4.031
0.000 4.031 0.000
4.031 0.000 0.000
4.031 4.031 4.031
2.015 2.015 2.015
2.015 6.046 6.046
6.046 2.015 6.046
6.046 6.046 2.015
2.015 2.015 6.046
2.015 6.046 2.015
6.046 2.015 2.015
6.046 6.046 6.046
```

Top 6 peaks for 2θ from 15° to 90°, sorted by position:
(2 2 0), 31.39 deg, 2.850 Å, I = 100; (4 0 0), 44.98 deg, 2.015 Å, I = 19; (4 2 2), 55.87 deg, 1.646 Å, I = 40; (4 4 0), 65.50 deg, 1.425 Å, I = 13; (6 2 0), 74.43 deg, 1.275 Å, I = 18; (4 4 4), 82.99 deg, 1.164 Å, I = 5